Co3B7ClO13: calculated XRD peak list (a wavelength of 1.5418 Å), based on a cell relaxed with PBE+U.
Neutral-atom scattering factors, no anomalous dispersion.

The 10 most intense peaks (2θ = 10–80°), sorted by position:
- (1 0 4), 20.5 deg, I = 26
- (0 0 6), 25.2 deg, I = 33
- (2 0 2), 25.3 deg, I = 25
- (0 2 4), 29.2 deg, I = 100
- (1 2 2), 32.8 deg, I = 54
- (2 0 8), 41.8 deg, I = 27
- (2 2 0), 41.9 deg, I = 25
- (2 1 7), 43.8 deg, I = 19
- (0 2 10), 49.4 deg, I = 21
- (2 2 6), 49.5 deg, I = 28

Structural model:
```
data_Co3B7ClO13
_chemical_formula_sum 'Co18 B42 Cl6 O78'
_space_group_name_H-M_alt 'R 3 c'
_space_group_IT_number 161
_space_group_name_Hall 'R 3 -2"c'
_cell_length_a 8.6240
_cell_length_b 8.6240
_cell_length_c 21.2289
_cell_angle_alpha 90.00
_cell_angle_beta 90.00
_cell_angle_gamma 120.00
loop_
_atom_site_label
_atom_site_fract_x
_atom_site_fract_y
_atom_site_fract_z
Co1 0.1847 0.3726 0.0000
B1 0.0000 0.0000 0.0575
B2 0.1682 0.3376 0.7437
B3 0.2045 0.1019 0.1888
Cl1 0.0000 0.0000 0.3904
O1 0.0000 0.0000 0.1719
O2 0.0278 0.2906 0.1968
O3 0.1057 0.3596 0.3053
O4 0.1334 0.4435 0.4144
O5 0.1601 0.0006 0.0546
```